1.
The following is a computed X-ray powder pattern of BaH2O4. It was derived from a DFT-relaxed cell (GGA-PBE, the Materials Project), using Cu Kα X-rays.

Atomic structure:
abc: 4.1926 9.5652 8.5495
angles: 90.00 98.38 90.00
Positions (direct):
Ba 0.1267 0.2043 0.1300
Ba 0.1267 0.2957 0.6300
Ba 0.8733 0.7043 0.3700
Ba 0.8733 0.7957 0.8700
H 0.2933 0.5715 0.1269
H 0.2933 0.9285 0.6269
H 0.4563 0.6038 0.6517
H 0.4563 0.8962 0.1517
H 0.5437 0.1038 0.8483
H 0.5437 0.3962 0.3483
H 0.7067 0.0715 0.3731
H 0.7067 0.4285 0.8731
O 0.1635 0.0018 0.6874
O 0.1635 0.4982 0.1874
O 0.2968 0.6990 0.6591
O 0.2968 0.8010 0.1591
O 0.3451 0.5032 0.3508
O 0.3451 0.9968 0.8508
O 0.4501 0.6923 0.0679
O 0.4501 0.8077 0.5679
O 0.5499 0.1923 0.4321
O 0.5499 0.3077 0.9321
O 0.6549 0.0032 0.1492
O 0.6549 0.4968 0.6492
O 0.7032 0.1990 0.8409
O 0.7032 0.3010 0.3409
O 0.8365 0.5018 0.8126
O 0.8365 0.9982 0.3126

Peak list (10 most intense, 2θ = 15–90°, by intensity)
d [Å], 2theta, I/Imax
3.868, 22.99, 1000
4.783, 18.55, 908
2.483, 36.17, 779
2.659, 33.70, 739
3.038, 29.40, 677
4.156, 21.38, 575
3.805, 23.38, 471
2.394, 37.58, 447
2.114, 42.79, 443
1.979, 45.84, 440

2.
The following is a computed X-ray powder pattern of Cs2Se. It was derived from a DFT-relaxed cell (GGA-PBE, the Materials Project), using Cu Kα X-rays.

Atomic structure:
abc: 7.8824 7.8824 7.8824
angles: 90.00 90.00 90.00
Positions (direct):
Cs 0.0000 0.0000 0.0000
Cs 0.0000 0.5000 0.5000
Cs 0.5000 0.0000 0.5000
Cs 0.5000 0.5000 0.0000
Se 0.2500 0.2500 0.2500
Se 0.7500 0.7500 0.7500

Peak list (10 most intense, 2θ = 15–90°, by intensity)
d [Å], 2theta, I/Imax
4.551, 19.51, 1000
2.787, 32.12, 734
2.377, 37.86, 544
1.609, 57.26, 276
3.941, 22.56, 253
1.808, 50.47, 236
5.574, 15.90, 232
1.517, 61.09, 178
1.332, 70.70, 174
1.971, 46.06, 132

3.
The following is a computed X-ray powder pattern of HoRu3C. It was derived from a DFT-relaxed cell (GGA-PBE, the Materials Project), using Cu Kα X-rays.

Atomic structure:
abc: 4.1543 4.1543 4.1543
angles: 90.00 90.00 90.00
Positions (direct):
Ho 0.0000 0.0000 0.0000
Ru 0.0000 0.5000 0.5000
Ru 0.5000 0.0000 0.5000
Ru 0.5000 0.5000 0.0000
C 0.5000 0.5000 0.5000

Peak list (10 most intense, 2θ = 15–90°, by intensity)
d [Å], 2theta, I/Imax
2.398, 37.50, 1000
2.077, 43.57, 532
1.253, 75.97, 375
1.469, 63.32, 343
1.199, 80.01, 116
2.938, 30.43, 60
4.154, 21.39, 30
1.696, 54.07, 24
1.858, 49.03, 18
1.110, 87.95, 13

4.
The following is a computed X-ray powder pattern of LiCa4. It was derived from a DFT-relaxed cell (GGA-PBE, the Materials Project), using Cu Kα X-rays.

Atomic structure:
abc: 8.3201 8.3201 8.3201
angles: 60.00 60.00 60.00
Positions (direct):
Li 0.1250 0.1250 0.1250
Li 0.8750 0.8750 0.8750
Ca 0.2648 0.2648 0.2648
Ca 0.2648 0.2648 0.7055
Ca 0.2648 0.7055 0.2648
Ca 0.2945 0.7352 0.7352
Ca 0.7055 0.2648 0.2648
Ca 0.7352 0.2945 0.7352
Ca 0.7352 0.7352 0.2945
Ca 0.7352 0.7352 0.7352

Peak list (10 most intense, 2θ = 15–90°, by intensity)
d [Å], 2theta, I/Imax
3.397, 26.24, 1000
2.942, 30.39, 454
2.080, 43.51, 309
1.774, 51.52, 298
2.264, 39.81, 156
2.699, 33.19, 99
1.137, 85.33, 84
1.648, 55.80, 83
1.350, 69.67, 82
1.532, 60.43, 77

5.
The following is a computed X-ray powder pattern of Sr3Ta2N4. It was derived from a DFT-relaxed cell (GGA-PBE, the Materials Project), using Cu Kα X-rays.

Atomic structure:
abc: 6.1588 10.7996 10.0156
angles: 90.00 90.00 90.00
Positions (direct):
Sr 0.1144 0.1586 0.0796
Sr 0.1144 0.3414 0.4204
Sr 0.2500 0.0000 0.4007
Sr 0.2500 0.5000 0.0993
Sr 0.3856 0.6586 0.4204
Sr 0.3856 0.8414 0.0796
Sr 0.6144 0.1586 0.9204
Sr 0.6144 0.3414 0.5796
Sr 0.7500 0.0000 0.5993
Sr 0.7500 0.5000 0.9007
Sr 0.8856 0.6586 0.5796
Sr 0.8856 0.8414 0.9204
Ta 0.1093 0.2500 0.7500
Ta 0.2500 0.0000 0.7355
Ta 0.2500 0.5000 0.7645
Ta 0.3907 0.7500 0.7500
Ta 0.6093 0.2500 0.2500
Ta 0.7500 0.0000 0.2645
Ta 0.7500 0.5000 0.2355
Ta 0.8907 0.7500 0.2500
N 0.0026 0.0791 0.8362
N 0.0026 0.4209 0.6638
N 0.1859 0.6527 0.8733
N 0.1859 0.8473 0.6267
N 0.3141 0.1527 0.6267
N 0.3141 0.3473 0.8733
N 0.4974 0.5791 0.6638
N 0.4974 0.9209 0.8362
N 0.5026 0.0791 0.1638
N 0.5026 0.4209 0.3362
N 0.6859 0.6527 0.1267
N 0.6859 0.8473 0.3733
N 0.8141 0.1527 0.3733
N 0.8141 0.3473 0.1267
N 0.9974 0.5791 0.3362
N 0.9974 0.9209 0.1638

Peak list (10 most intense, 2θ = 15–90°, by intensity)
d [Å], 2theta, I/Imax
2.935, 30.46, 1000
5.246, 16.90, 776
2.834, 31.57, 661
2.963, 30.16, 585
5.008, 17.71, 504
1.664, 55.21, 389
2.377, 37.86, 376
2.401, 37.46, 363
3.388, 26.31, 325
1.987, 45.65, 324